Diffraction record for Cu2GeP2H10O14. The PXRD pattern is calculated, not measured: it uses DFT lattice parameters and positions (GGA-PBE) and Cu Kα (weighted mean of Kα1 and Kα2).
No peak broadening, texture or thermal motion is included.

The 10 most intense peaks (10 to 90 degrees two-theta), by angle:
- 12.4°, rel. 100
- 17.4°, rel. 32
- 18.6°, rel. 42
- 18.8°, rel. 25
- 20.5°, rel. 38
- 23.6°, rel. 37
- 27.7°, rel. 47
- 27.8°, rel. 82
- 30.4°, rel. 23
- 46.1°, rel. 26

Structural model:
Lattice parameters (Å, degrees): 5.113 8.666 13.502 90.00 111.42 90.00
Sites, in units of the cell vectors:
Cu1 0.042 0.039 0.271
Cu2 0.042 0.461 0.771
Cu3 0.958 0.539 0.229
Cu4 0.958 0.961 0.729
Ge1 0.000 0.000 0.000
Ge2 0.000 0.500 0.500
P1 0.399 0.174 0.901
P2 0.399 0.326 0.401
P3 0.601 0.674 0.599
P4 0.601 0.826 0.099
H1 0.002 0.643 0.066
H2 0.002 0.857 0.566
H3 0.140 0.748 0.843
H4 0.140 0.752 0.343
H5 0.307 0.587 0.134
H6 0.307 0.913 0.634
H7 0.357 0.050 0.168
H8 0.357 0.450 0.668
H9 0.443 0.689 0.888
H10 0.443 0.811 0.388
H11 0.557 0.189 0.612
H12 0.557 0.311 0.112
H13 0.643 0.550 0.332
H14 0.643 0.950 0.832
H15 0.693 0.087 0.366
H16 0.693 0.413 0.866
H17 0.860 0.248 0.657
H18 0.860 0.252 0.157
H19 0.998 0.143 0.434
H20 0.998 0.357 0.934
O1 0.104 0.556 0.112
O2 0.104 0.944 0.612
O3 0.150 0.067 0.143
O4 0.150 0.433 0.643
O5 0.203 0.171 0.968
O6 0.203 0.329 0.468
O7 0.272 0.686 0.823
O8 0.272 0.814 0.323
O9 0.295 0.647 0.520
O10 0.295 0.853 0.020
O11 0.323 0.048 0.815
O12 0.323 0.452 0.315
O13 0.382 0.160 0.356
O14 0.382 0.340 0.856
O15 0.618 0.660 0.144
O16 0.618 0.840 0.644
O17 0.677 0.548 0.685
O18 0.677 0.952 0.185
O19 0.705 0.147 0.980
O20 0.705 0.353 0.480
O21 0.728 0.186 0.677
O22 0.728 0.314 0.177
O23 0.797 0.671 0.532
O24 0.797 0.829 0.032
O25 0.850 0.567 0.357
O26 0.850 0.933 0.857
O27 0.896 0.056 0.388
O28 0.896 0.444 0.888

***

Diffraction record for MgSb3. The PXRD pattern is calculated, not measured: it uses DFT lattice parameters and positions (GGA-PBE) and Cu Kα (weighted mean of Kα1 and Kα2).
No peak broadening, texture or thermal motion is included.

The 10 most intense peaks (10 to 90 degrees two-theta), by angle:
- 26.3°, rel. 15
- 29.8°, rel. 23
- 30.0°, rel. 21
- 32.5°, rel. 15
- 33.8°, rel. 27
- 34.3°, rel. 100
- 36.8°, rel. 33
- 56.3°, rel. 15
- 60.8°, rel. 17
- 67.3°, rel. 13

Structural model:
Lattice parameters (Å, degrees): 6.242 6.242 6.242 146.72 63.49 127.62
Sites, in units of the cell vectors:
Mg1 0.000 0.000 0.000
Sb1 0.055 0.329 0.726
Sb2 0.469 0.969 0.500
Sb3 0.603 0.329 0.274

***

Diffraction record for MnBi2Se4. The PXRD pattern is calculated, not measured: it uses DFT lattice parameters and positions (GGA-PBE) and Cu Kα (weighted mean of Kα1 and Kα2).
No peak broadening, texture or thermal motion is included.

The 10 most intense peaks (10 to 90 degrees two-theta), by angle:
- 14.7°, rel. 45
- 23.4°, rel. 43
- 24.6°, rel. 35
- 29.0°, rel. 34
- 29.7°, rel. 79
- 31.1°, rel. 100
- 33.8°, rel. 43
- 42.6°, rel. 33
- 42.7°, rel. 33
- 44.0°, rel. 36

Structural model:
Lattice parameters (Å, degrees): 6.984 6.984 15.399 114.36 114.36 34.25
Sites, in units of the cell vectors:
Mn1 0.000 0.000 0.000
Mn2 0.500 0.500 0.500
Bi1 0.154 0.154 0.371
Bi2 0.211 0.211 0.862
Bi3 0.789 0.789 0.138
Bi4 0.846 0.846 0.629
Se1 0.153 0.153 0.556
Se2 0.159 0.159 0.172
Se3 0.387 0.387 0.044
Se4 0.490 0.490 0.322
Se5 0.510 0.510 0.678
Se6 0.613 0.613 0.956
Se7 0.841 0.841 0.828
Se8 0.847 0.847 0.444

***

Diffraction record for Li3PS4. The PXRD pattern is calculated, not measured: it uses DFT lattice parameters and positions (GGA-PBE) and Cu Kα (weighted mean of Kα1 and Kα2).
No peak broadening, texture or thermal motion is included.

The 10 most intense peaks (10 to 90 degrees two-theta), by angle:
- 17.3°, rel. 83
- 18.0°, rel. 63
- 25.7°, rel. 53
- 27.1°, rel. 64
- 27.2°, rel. 26
- 28.7°, rel. 61
- 29.5°, rel. 100
- 30.7°, rel. 31
- 44.6°, rel. 25
- 47.0°, rel. 38

Structural model:
Lattice parameters (Å, degrees): 13.184 8.132 6.213 90.00 90.00 90.00
Sites, in units of the cell vectors:
Li1 0.000 0.000 0.000
Li2 0.000 0.500 0.000
Li3 0.168 0.032 0.389
Li4 0.168 0.468 0.389
Li5 0.332 0.532 0.889
Li6 0.332 0.968 0.889
Li7 0.500 0.000 0.500
Li8 0.500 0.500 0.500
Li9 0.668 0.032 0.111
Li10 0.668 0.468 0.111
Li11 0.832 0.532 0.611
Li12 0.832 0.968 0.611
P1 0.089 0.750 0.654
P2 0.411 0.250 0.154
P3 0.589 0.750 0.846
P4 0.911 0.250 0.346
S1 0.059 0.250 0.227
S2 0.101 0.750 0.326
S3 0.152 0.538 0.773
S4 0.152 0.962 0.773
S5 0.348 0.038 0.273
S6 0.348 0.462 0.273
S7 0.399 0.250 0.826
S8 0.441 0.750 0.727
S9 0.559 0.250 0.273
S10 0.601 0.750 0.174
S11 0.652 0.538 0.727
S12 0.652 0.962 0.727
S13 0.848 0.038 0.227
S14 0.848 0.462 0.227
S15 0.899 0.250 0.674
S16 0.941 0.750 0.773